Record 1
The following is a theoretical PXRD pattern of Pm4InS5. It was derived from a GGA-PBE-relaxed structure, using Cu Kα (λ = 1.5418 Å).
Peak positions follow from Bragg's law for the DFT cell and can differ from measured ones.

```
10
Lattice="2.0256 1.1695 17.4300 -2.0256 1.1695 17.4300 0.0000 -2.3389 17.4300" Properties=species:S:1:pos:R:3 pbc="T T T"
Pm 0.0000 0.0000 4.9409
Pm 0.0000 0.0000 15.7917
Pm 0.0000 0.0000 36.4983
Pm 0.0000 0.0000 47.3491
In 0.0000 0.0000 26.1450
S 0.0000 0.0000 0.0000
S 0.0000 0.0000 10.9178
S 0.0000 0.0000 20.7214
S 0.0000 0.0000 31.5686
S 0.0000 0.0000 41.3722
```

The 10 most intense peaks (5 to 70 degrees two-theta), by intensity:
2θ = 30.69°, 2.913 Å, I = 100; 2θ = 26.80°, 3.326 Å, I = 55; 2θ = 44.74°, 2.026 Å, I = 37; 2θ = 43.15°, 2.096 Å, I = 30; 2θ = 55.24°, 1.663 Å, I = 20; 2θ = 25.55°, 3.486 Å, I = 20; 2θ = 52.23°, 1.751 Å, I = 18; 2θ = 5.07°, 17.430 Å, I = 15; 2θ = 63.91°, 1.457 Å, I = 9; 2θ = 52.93°, 1.730 Å, I = 9


Record 2
The following is a theoretical PXRD pattern of Ac2TlZnRh. It was derived from a GGA-PBE-relaxed structure, using Cu Kα (λ = 1.5418 Å).
Peak positions follow from Bragg's law for the DFT cell and can differ from measured ones.

```
10
Lattice="7.6339 0.0000 0.0000 0.0000 4.6783 0.0000 -2.6748 0.0000 7.9728" Properties=species:S:1:pos:R:3 pbc="T T T"
Ac 0.1634 1.1696 2.7219
Ac -0.4225 1.1696 7.5698
Ac 5.3817 3.5088 0.4030
Ac 4.7958 3.5088 5.2508
Tl 0.7960 3.5088 5.2041
Tl 4.1631 1.1696 2.7686
Zn 2.5279 3.5088 2.4985
Zn 2.4313 1.1696 5.4742
Rh 0.6887 3.5088 0.6981
Rh 4.2704 1.1696 7.2746
```

The 10 most intense peaks (5 to 70 degrees two-theta), by intensity:
2θ = 33.67°, 2.662 Å, I = 100; 2θ = 29.44°, 3.034 Å, I = 87; 2θ = 38.49°, 2.339 Å, I = 46; 2θ = 35.90°, 2.501 Å, I = 41; 2θ = 30.19°, 2.960 Å, I = 31; 2θ = 29.02°, 3.076 Å, I = 22; 2θ = 30.41°, 2.939 Å, I = 21; 2θ = 52.09°, 1.756 Å, I = 21; 2θ = 24.60°, 3.619 Å, I = 18; 2θ = 27.52°, 3.241 Å, I = 18


Record 3
The following is a theoretical PXRD pattern of Pm2CdPb2. It was derived from a GGA-PBE-relaxed structure, using Cu Kα (λ = 1.5418 Å).
Peak positions follow from Bragg's law for the DFT cell and can differ from measured ones.

```
20
Lattice="9.5121 0.0000 0.0000 0.0000 8.3135 0.0000 -0.0490 0.0000 7.8088" Properties=species:S:1:pos:R:3 pbc="T T T"
Pm 0.9955 2.0197 7.8076
Pm 1.0200 2.1371 3.9033
Pm 3.3936 6.1477 3.9138
Pm 3.4181 6.3225 0.0094
Pm 6.0450 1.9910 7.7994
Pm 6.0695 2.1658 3.8950
Pm 8.4430 6.1765 3.9055
Pm 8.4675 6.2938 0.0011
Cd 3.5841 0.7123 5.6255
Cd 3.6086 3.4445 1.7211
Cd 5.8544 4.8690 6.0876
Cd 5.8789 7.6012 2.1833
Pb 1.0908 4.8460 1.9351
Pb 1.0663 7.6243 5.8394
Pb 3.2421 0.5623 2.0357
Pb 3.2176 3.5944 5.9400
Pb 6.2455 4.7191 1.8687
Pb 6.2210 7.7512 5.7731
Pb 8.3967 0.6892 1.9693
Pb 8.3722 3.4676 5.8737
```

The 10 most intense peaks (5 to 70 degrees two-theta), by intensity:
2θ = 31.44°, 2.845 Å, I = 100; 2θ = 37.56°, 2.394 Å, I = 64; 2θ = 31.63°, 2.829 Å, I = 45; 2θ = 24.30°, 3.663 Å, I = 35; 2θ = 37.83°, 2.378 Å, I = 27; 2θ = 24.45°, 3.641 Å, I = 19; 2θ = 46.52°, 1.952 Å, I = 18; 2θ = 61.37°, 1.511 Å, I = 16; 2θ = 61.16°, 1.515 Å, I = 13; 2θ = 50.10°, 1.821 Å, I = 13